Record 1
For MgCo5CuO8, DFT lattice parameters and positions (PBE+U) gives the computed powder X-ray diffraction pattern in this record (Cu Kα X-rays).
Peak positions follow from Bragg's law for the DFT cell and can differ from measured ones.

Atomic structure:
```
MgCo5CuO8
1.0
5.8546 0.0000 0.0000
-2.8745 5.1131 0.0000
-0.1593 -3.2088 5.2179
Mg Co Cu O
1 5 1 8
Direct
0.0000 0.0000 0.0000 Mg
0.0000 0.5000 0.0000 Co
0.1374 0.2946 0.4665 Co
0.5000 0.0000 0.0000 Co
0.5000 0.0000 0.5000 Co
0.8626 0.7054 0.5335 Co
0.5000 0.5000 0.0000 Cu
0.2216 0.4830 0.2334 O
0.2554 0.0119 0.2540 O
0.2564 0.0201 0.7601 O
0.2668 0.5490 0.8260 O
0.7332 0.4510 0.1740 O
0.7436 0.9799 0.2399 O
0.7446 0.9881 0.7460 O
0.7784 0.5170 0.7666 O
```

Principal peaks in the range 2θ = 10–90°, in order of rising 2θ:
hkl 1 -2 1, 30.5 deg, 2.928 Å, I 67
hkl 0 0 2, 34.4 deg, 2.609 Å, I 100
hkl 1 1 0, 34.5 deg, 2.597 Å, I 52
hkl -2 1 1, 34.8 deg, 2.579 Å, I 56
hkl 0 2 -1, 35.4 deg, 2.537 Å, I 62
hkl 1 -2 2, 35.8 deg, 2.507 Å, I 54
hkl 2 -2 1, 36.2 deg, 2.479 Å, I 50
hkl 0 2 0, 41.5 deg, 2.178 Å, I 61
hkl 2 0 -2, 42.2 deg, 2.139 Å, I 73
hkl 2 -2 2, 43.4 deg, 2.085 Å, I 58
hkl 2 2 -2, 62.8 deg, 1.479 Å, I 57
hkl 2 -4 2, 63.5 deg, 1.465 Å, I 56

---

Record 2
For Li3MnSb4O12, DFT lattice parameters and positions (PBE+U) gives the computed powder X-ray diffraction pattern in this record (Cu Kα X-rays).
Peak positions follow from Bragg's law for the DFT cell and can differ from measured ones.

Atomic structure:
```
Li3MnSb4O12
1.0
5.3043 0.0000 0.0000
0.0048 5.5853 0.0000
0.0055 0.5445 7.6970
Li Mn Sb O
3 1 4 12
Direct
0.0000 0.0000 0.0000 Li
0.0005 0.0049 0.4975 Li
0.4993 0.5109 0.0009 Li
0.4994 0.5044 0.4935 Mn
0.9996 0.4302 0.7201 Sb
0.5000 0.9415 0.2073 Sb
0.5017 0.9341 0.7183 Sb
0.9977 0.4327 0.2068 Sb
0.1346 0.4069 0.9620 O
0.1764 0.1090 0.2652 O
0.2002 0.7261 0.6354 O
0.3009 0.2293 0.6376 O
0.3211 0.6093 0.2582 O
0.3671 0.9078 0.9614 O
0.6239 0.9038 0.4589 O
0.6699 0.5982 0.7614 O
0.6946 0.2383 0.1316 O
0.8000 0.7326 0.1323 O
0.8290 0.1005 0.7647 O
0.8785 0.4037 0.4597 O
```

Principal peaks in the range 2θ = 10–90°, in order of rising 2θ:
hkl 1 1 0, 23.1 deg, 3.844 Å, I 100
hkl 1 1 2, 32.1 deg, 2.787 Å, I 55
hkl 2 0 0, 33.8 deg, 2.654 Å, I 40
hkl -2 1 1, 39.0 deg, 2.308 Å, I 7
hkl 2 0 -2, 41.3 deg, 2.184 Å, I 14
hkl 2 2 0, 47.3 deg, 1.923 Å, I 17
hkl 2 -2 0, 47.3 deg, 1.920 Å, I 8
hkl 1 3 0, 52.1 deg, 1.754 Å, I 21
hkl 1 -3 0, 52.2 deg, 1.752 Å, I 11
hkl 3 1 0, 54.4 deg, 1.687 Å, I 14
hkl 3 1 2, 59.4 deg, 1.557 Å, I 17
hkl 3 1 -2, 60.4 deg, 1.532 Å, I 16